Diffraction record for Pr2Nd4Dy5. The XRD peak list is computed, not measured: it uses a DFT-relaxed cell (GGA-PBE, Alexandria) and a wavelength of 1.5418 Å.
No peak broadening, texture or thermal motion is included.

Cell and atoms:
Cell: 19.7820 5.9031 6.4054 Å, 90.00 95.11 90.00°
Space group C2/m (No. 12)
Asymmetric unit:
1 Pr 0.0990 0.0000 0.0427 (multiplicity 4)
2 Nd 0.0358 0.5000 0.7677 (multiplicity 4)
3 Nd 0.1941 0.0000 0.5726 (multiplicity 4)
4 Dy 0.0000 0.0000 0.5000 (multiplicity 2)
5 Dy 0.1308 0.5000 0.3544 (multiplicity 4)
6 Dy 0.2143 0.5000 0.8928 (multiplicity 4)

Main lines, most intense first (10° ≤ 2θ ≤ 90°):
d/Å	2theta	I (rel.)
2.831	31.60	100.0
2.809	31.85	93.0
2.952	30.28	58.9
3.032	29.46	50.5
2.115	42.76	36.9
1.680	54.63	21.6
1.675	54.79	20.1
1.593	57.89	17.2
1.714	53.45	17.1
1.892	48.09	15.2
1.699	53.95	12.3
1.416	65.99	10.3

---

Diffraction record for LaEr2Sb3. The XRD peak list is computed, not measured: it uses a DFT-relaxed cell (GGA-PBE, Alexandria) and a wavelength of 1.5418 Å.
No peak broadening, texture or thermal motion is included.

Cell and atoms:
Cell: 4.4482 6.3080 13.3123 Å, 90.00 90.00 90.00°
Space group Immm (No. 71)
Asymmetric unit:
1 La 0.0000 0.0000 0.0000 (multiplicity 2)
2 Er 0.0000 0.0000 0.3357 (multiplicity 4)
3 Sb 0.0000 0.5000 0.0000 (multiplicity 2)
4 Sb 0.0000 0.5000 0.3248 (multiplicity 4)

Main lines, most intense first (10° ≤ 2θ ≤ 90°):
d/Å	2theta	I (rel.)
3.142	28.41	100.0
2.225	40.54	96.2
3.154	28.30	50.9
1.406	66.49	26.0
1.818	50.19	21.4
1.815	50.28	20.0
2.219	40.66	18.6
1.409	66.32	18.6
1.284	73.77	13.0
1.286	73.67	13.0
1.571	58.78	12.5
1.282	73.91	12.1

---

Diffraction record for TbNdSe2O. The XRD peak list is computed, not measured: it uses a DFT-relaxed cell (GGA-PBE, Alexandria) and a wavelength of 1.5418 Å.
No peak broadening, texture or thermal motion is included.

Cell and atoms:
Cell: 4.0599 4.0599 14.6662 Å, 90.00 90.00 90.00°
Space group P4/nmm (No. 129, origin choice 2)
Asymmetric unit:
1 Tb 0.2500 0.2500 0.1248 (multiplicity 2)
2 Nd 0.2500 0.2500 0.5809 (multiplicity 2)
3 Se 0.2500 0.2500 0.3048 (multiplicity 2)
4 Se 0.2500 0.2500 0.9107 (multiplicity 2)
5 O 0.2500 0.7500 0.5000 (multiplicity 2)

Main lines, most intense first (10° ≤ 2θ ≤ 90°):
d/Å	2theta	I (rel.)
2.871	31.15	100.0
3.552	25.07	43.1
2.030	44.64	42.5
2.260	39.88	38.4
2.378	37.84	31.8
3.123	28.58	29.8
3.667	24.27	27.1
2.094	43.20	21.2
1.212	78.98	18.9
2.721	32.92	18.6
1.284	73.81	16.9
1.544	59.91	16.8

---

Diffraction record for PaP2IO8. The XRD peak list is computed, not measured: it uses a DFT-relaxed cell (GGA-PBE, Alexandria) and a wavelength of 1.5418 Å.
No peak broadening, texture or thermal motion is included.

Cell and atoms:
Cell: 5.5491 5.5491 8.8270 Å, 90.00 90.00 120.00°
Space group P-3m1 (No. 164)
Asymmetric unit:
1 Pa 0.0000 0.0000 0.0000 (multiplicity 1)
2 P 0.3333 0.6667 0.7884 (multiplicity 2)
3 I 0.0000 0.0000 0.5000 (multiplicity 1)
4 O 0.1833 0.3666 0.8574 (multiplicity 6)
5 O 0.3333 0.6667 0.6166 (multiplicity 2)

Main lines, most intense first (10° ≤ 2θ ≤ 90°):
d/Å	2theta	I (rel.)
3.251	27.44	100.0
4.806	18.46	83.7
2.775	32.26	40.1
2.110	42.85	33.0
4.221	21.05	30.8
1.680	54.64	28.6
2.349	38.32	27.5
8.827	10.02	27.4
2.005	45.22	22.5
4.413	20.12	18.2
1.727	53.02	16.6
1.816	50.23	15.7

---

Diffraction record for Bi2Au3. The XRD peak list is computed, not measured: it uses a DFT-relaxed cell (GGA-PBE, Alexandria) and a wavelength of 1.5418 Å.
No peak broadening, texture or thermal motion is included.

Cell and atoms:
Cell: 10.0693 10.0693 10.0693 Å, 90.00 90.00 90.00°
Space group I-43d (No. 220)
Asymmetric unit:
1 Bi 0.0373 0.4627 0.5373 (multiplicity 16)
2 Au 0.0000 0.2500 0.0136 (multiplicity 24)

Main lines, most intense first (10° ≤ 2θ ≤ 90°):
d/Å	2theta	I (rel.)
2.691	33.29	100.0
2.517	35.67	82.4
2.147	42.09	56.2
1.780	51.33	44.5
1.370	68.47	33.0
1.279	74.15	30.6
4.111	21.62	25.3
3.184	28.02	16.4
1.975	45.96	14.6
1.453	64.07	13.9
1.633	56.32	11.8
3.560	25.01	10.0

---

Diffraction record for Er4Si9Ir13. The XRD peak list is computed, not measured: it uses a DFT-relaxed cell (GGA-PBE, Alexandria) and a wavelength of 1.5418 Å.
No peak broadening, texture or thermal motion is included.

Cell and atoms:
Cell: 3.9444 11.0010 19.0057 Å, 90.00 90.00 90.00°
Space group Pmmn (No. 59, origin choice 2)
Asymmetric unit:
1 Er 0.2500 0.0594 0.2078 (multiplicity 4)
2 Er 0.2500 0.2500 0.0225 (multiplicity 2)
3 Er 0.2500 0.7500 0.5198 (multiplicity 2)
4 Si 0.2500 0.0684 0.4147 (multiplicity 4)
5 Si 0.2500 0.1228 0.7294 (multiplicity 4)
6 Si 0.2500 0.2500 0.6020 (multiplicity 2)
7 Si 0.2500 0.5617 0.9195 (multiplicity 4)
8 Si 0.2500 0.7500 0.1020 (multiplicity 2)
9 Si 0.2500 0.7500 0.7327 (multiplicity 2)
10 Ir 0.2500 0.0612 0.5391 (multiplicity 4)
11 Ir 0.2500 0.1253 0.8566 (multiplicity 4)
12 Ir 0.2500 0.2500 0.3431 (multiplicity 2)
13 Ir 0.2500 0.5494 0.0468 (multiplicity 4)
14 Ir 0.2500 0.5661 0.6650 (multiplicity 4)
15 Ir 0.2500 0.6226 0.3552 (multiplicity 4)
16 Ir 0.2500 0.7500 0.2273 (multiplicity 2)
17 Ir 0.2500 0.7500 0.8587 (multiplicity 2)

Main lines, most intense first (10° ≤ 2θ ≤ 90°):
d/Å	2theta	I (rel.)
2.472	36.35	100.0
3.172	28.13	21.5
1.972	46.02	19.5
3.037	29.41	15.8
2.183	41.36	12.4
1.910	47.61	12.2
1.903	47.79	11.8
1.215	78.80	10.9
1.830	49.83	9.1
1.369	68.52	8.1
2.193	41.16	7.7
1.463	63.58	7.3